# 1
Calculated X-ray diffraction stick pattern of Pr5Sm5Dy2 for Cu Kα (weighted mean of Kα1 and Kα2), from a PBE-relaxed structure.
Intensities are scaled so that the largest is 100.

Structural model:
Lattice parameters (Å, degrees): 8.167 8.167 11.547 115.08 115.08 36.84
Element x y z (fractional)
Pr  0.000  0.000  0.000
Pr  0.165  0.165  0.499
Pr  0.251  0.251  0.250
Pr  0.749  0.749  0.750
Pr  0.835  0.835  0.501
Sm  0.333  0.333  0.000
Sm  0.418  0.418  0.751
Sm  0.500  0.500  0.500
Sm  0.582  0.582  0.249
Sm  0.667  0.667  0.000
Dy  0.083  0.083  0.752
Dy  0.917  0.917  0.248

Largest 8 diffraction maxima, in order of falling intensity, 2θ = 10–90°:
2θ/deg	d/Å	I (rel.)
29.97	2.981	100
34.74	2.582	51
59.36	1.557	43
49.95	1.826	36
81.19	1.185	18
83.77	1.155	16
62.28	1.491	12
73.33	1.291	6


# 2
Calculated X-ray diffraction stick pattern of Pr4Sm11Dy9 for Cu Kα (weighted mean of Kα1 and Kα2), from a PBE-relaxed structure.
Intensities are scaled so that the largest is 100.

Structural model:
Lattice parameters (Å, degrees): 15.325 15.325 3.722 90.00 90.00 112.81
Element x y z (fractional)
Pr  0.054  0.256  0.000
Pr  0.256  0.054  0.000
Pr  0.744  0.946  0.000
Pr  0.946  0.744  0.000
Sm  0.093  0.455  0.500
Sm  0.135  0.865  0.500
Sm  0.211  0.211  0.500
Sm  0.341  0.659  0.500
Sm  0.455  0.093  0.500
Sm  0.500  0.500  0.500
Sm  0.545  0.907  0.500
Sm  0.659  0.341  0.500
Sm  0.789  0.789  0.500
Sm  0.865  0.135  0.500
Sm  0.907  0.545  0.500
Dy  0.000  0.000  0.000
Dy  0.135  0.663  0.000
Dy  0.289  0.435  0.000
Dy  0.337  0.865  0.000
Dy  0.435  0.289  0.000
Dy  0.565  0.711  0.000
Dy  0.663  0.135  0.000
Dy  0.711  0.565  0.000
Dy  0.865  0.337  0.000

Largest 12 diffraction maxima, in order of falling intensity, 2θ = 10–90°:
2θ/deg	d/Å	I (rel.)
31.97	2.799	100
29.74	3.004	64
58.34	1.582	16
30.62	2.920	14
48.94	1.861	12
54.31	1.689	9
59.98	1.542	8
32.44	2.760	8
80.68	1.191	7
28.32	3.151	7
30.18	2.962	7
29.92	2.987	6


# 3
Calculated X-ray diffraction stick pattern of Pr10Sm4Dy for Cu Kα (weighted mean of Kα1 and Kα2), from a PBE-relaxed structure.
Intensities are scaled so that the largest is 100.

Structural model:
Lattice parameters (Å, degrees): 9.689 9.689 9.689 99.57 99.57 131.87
Element x y z (fractional)
Pr  0.050  0.348  0.900
Pr  0.150  0.050  0.702
Pr  0.250  0.750  0.500
Pr  0.348  0.448  0.298
Pr  0.448  0.150  0.100
Pr  0.552  0.850  0.900
Pr  0.652  0.552  0.702
Pr  0.750  0.250  0.500
Pr  0.850  0.950  0.298
Pr  0.950  0.652  0.100
Sm  0.201  0.400  0.600
Sm  0.400  0.799  0.199
Sm  0.600  0.201  0.801
Sm  0.799  0.600  0.400
Dy  0.000  0.000  0.000

Largest 12 diffraction maxima, in order of falling intensity, 2θ = 10–90°:
2θ/deg	d/Å	I (rel.)
32.00	2.796	100
57.04	1.615	39
19.44	4.567	28
45.89	1.977	18
37.72	2.385	16
66.92	1.398	12
22.48	3.955	11
76.08	1.251	11
50.28	1.815	7
76.18	1.250	5
60.86	1.522	5
70.43	1.337	5


# 4
Calculated X-ray diffraction stick pattern of PrSm2Dy3 for Cu Kα (weighted mean of Kα1 and Kα2), from a PBE-relaxed structure.
Intensities are scaled so that the largest is 100.

Structural model:
Lattice parameters (Å, degrees): 6.690 6.690 9.036 97.90 97.90 95.19
Element x y z (fractional)
Pr  0.086  0.914  0.750
Pr  0.914  0.086  0.250
Sm  0.129  0.624  0.374
Sm  0.376  0.871  0.126
Sm  0.624  0.129  0.874
Sm  0.871  0.376  0.626
Dy  0.165  0.332  0.998
Dy  0.332  0.165  0.498
Dy  0.420  0.580  0.750
Dy  0.580  0.420  0.250
Dy  0.668  0.835  0.502
Dy  0.835  0.668  0.002

Largest 12 diffraction maxima, in order of falling intensity, 2θ = 10–90°:
2θ/deg	d/Å	I (rel.)
31.34	2.854	100
55.81	1.647	23
31.41	2.848	21
44.92	2.018	21
62.21	1.492	18
55.89	1.645	12
74.37	1.276	8
65.50	1.425	8
40.82	2.211	8
88.41	1.106	6
79.97	1.200	6
52.23	1.751	5


# 5
Calculated X-ray diffraction stick pattern of Pr3SmDy4 for Cu Kα (weighted mean of Kα1 and Kα2), from a PBE-relaxed structure.
Intensities are scaled so that the largest is 100.

Structural model:
Lattice parameters (Å, degrees): 11.645 7.346 6.325 90.00 90.00 90.00
Element x y z (fractional)
Pr  0.000  0.128  0.000
Pr  0.250  0.128  0.337
Pr  0.250  0.872  0.837
Pr  0.500  0.872  0.500
Pr  0.750  0.128  0.337
Pr  0.750  0.872  0.837
Sm  0.000  0.870  0.501
Sm  0.500  0.130  0.001
Dy  0.000  0.379  0.501
Dy  0.000  0.622  0.003
Dy  0.249  0.621  0.335
Dy  0.251  0.379  0.835
Dy  0.500  0.378  0.503
Dy  0.500  0.621  0.001
Dy  0.749  0.379  0.835
Dy  0.751  0.621  0.335

Largest 12 diffraction maxima, in order of falling intensity, 2θ = 10–90°:
2θ/deg	d/Å	I (rel.)
32.10	2.788	100
32.21	2.779	49
30.71	2.911	37
55.51	1.656	32
42.13	2.145	24
28.09	3.176	23
59.72	1.548	23
49.87	1.828	19
60.42	1.532	16
28.22	3.162	12
59.51	1.553	11
49.64	1.837	10


# 6
Calculated X-ray diffraction stick pattern of Pr7SmDy3 for Cu Kα (weighted mean of Kα1 and Kα2), from a PBE-relaxed structure.
Intensities are scaled so that the largest is 100.

Structural model:
Lattice parameters (Å, degrees): 10.382 10.382 12.687 114.42 114.42 41.04
Element x y z (fractional)
Pr  0.079  0.585  0.471
Pr  0.082  0.585  0.974
Pr  0.227  0.773  0.750
Pr  0.334  0.347  0.226
Pr  0.347  0.334  0.726
Pr  0.415  0.918  0.526
Pr  0.415  0.921  0.029
Pr  0.585  0.079  0.971
Pr  0.585  0.082  0.474
Pr  0.653  0.666  0.274
Pr  0.666  0.653  0.774
Pr  0.773  0.227  0.250
Pr  0.918  0.415  0.026
Pr  0.921  0.415  0.529
Sm  0.000  0.000  0.000
Sm  0.000  0.000  0.500
Dy  0.166  0.174  0.275
Dy  0.174  0.166  0.775
Dy  0.500  0.500  0.000
Dy  0.500  0.500  0.500
Dy  0.826  0.834  0.225
Dy  0.834  0.826  0.725

Largest 12 diffraction maxima, in order of falling intensity, 2θ = 10–90°:
2θ/deg	d/Å	I (rel.)
31.42	2.847	100
33.19	2.699	55
30.74	2.908	50
59.94	1.543	34
32.91	2.721	30
49.88	1.828	26
28.47	3.135	21
29.12	3.066	20
59.56	1.552	15
53.93	1.700	14
37.24	2.414	14
50.13	1.820	13